Starting from a DFT-relaxed cell (GGA-PBE, Alexandria), the powder X-ray diffraction pattern of GeRuSI was calculated for Cu Kα X-rays.
Kinematic intensities with the Lorentz-polarization factor, no thermal factor.

a = 3.5998 Å, b = 4.6075 Å, c = 7.4679 Å
α = 106.93°, β = 90.87°, γ = 112.71°
Sites, in units of the cell vectors:
Ge1 0.0000 0.0000 0.0000
Ru1 0.7001 0.4083 0.9803
S1 0.2722 0.5388 0.2076
I1 0.1220 0.2690 0.6795

The 6 most intense peaks (10° ≤ 2θ ≤ 80°), in order of rising 2θ:
7.069 Å, 2θ 12.52, I 100, hkl 0 0 1
4.113 Å, 2θ 21.61, I 22, hkl 0 1 -1
4.024 Å, 2θ 22.09, I 35, hkl 0 1 0
3.286 Å, 2θ 27.14, I 20, hkl 1 0 0
2.601 Å, 2θ 34.48, I 24, hkl 1 0 -2
2.563 Å, 2θ 35.02, I 25, hkl 1 -1 2